Record 1
Computed PXRD pattern of Sm3AlFeS7 for copper Kα, from DFT lattice parameters and positions (GGA-PBE).
Intensities are scaled so that the largest is 1000.

Top 6 peaks for 10 to 90 degrees two-theta, sorted by position:
d [Å]	Rel. int.	(hkl)
4.970	474	0 1 1
3.493	1000	0 1 2
3.219	251	2 0 1
2.575	266	0 1 3
2.485	426	2 2 -2
2.458	246	2 0 -4

Structural model:
```
data_Sm3AlFeS7
_chemical_formula_sum 'Sm6 Al2 Fe2 S14'
_cell_length_a 9.795
_cell_length_b 6.126
_cell_length_c 9.821
_cell_angle_alpha 90.00
_cell_angle_beta 119.77
_cell_angle_gamma 90.00
_space_group_name_H-M_alt 'P 1 21 1'
_space_group_IT_number 4
loop_
_space_group_symop_operation_xyz
'x,y,z'
'-x,y+1/2,-z'
loop_
_atom_site_label
_atom_site_type_symbol
_atom_site_fract_x
_atom_site_fract_y
_atom_site_fract_z
Sm1 Sm 0.124 0.000 0.350
Sm2 Sm 0.272 0.499 0.121
Sm3 Sm 0.352 0.500 0.726
Al1 Al 0.167 0.922 0.833
Fe1 Fe 0.498 0.811 0.496
S1 S 0.019 0.772 0.926
S2 S 0.075 0.771 0.594
S3 S 0.166 0.287 0.832
S4 S 0.265 0.575 0.403
S5 S 0.361 0.076 0.264
S6 S 0.404 0.074 0.639
S7 S 0.407 0.772 0.980
```

=====

Record 2
Computed PXRD pattern of TmLuIn4 for copper Kα, from DFT lattice parameters and positions (GGA-PBE).
Intensities are scaled so that the largest is 1000.

Top 6 peaks for 10 to 90 degrees two-theta, sorted by position:
d [Å]	Rel. int.	(hkl)
2.667	1000	1 1 3
2.348	161	0 0 6
2.302	169	2 0 0
2.281	164	0 2 0
1.389	129	3 1 3
1.380	127	1 3 3

Structural model:
```
data_TmLuIn4
_chemical_formula_sum 'Tm2 Lu2 In8'
_cell_length_a 4.603
_cell_length_b 4.563
_cell_length_c 14.091
_cell_angle_alpha 90.00
_cell_angle_beta 90.00
_cell_angle_gamma 90.00
_space_group_name_H-M_alt 'A m m 2'
_space_group_IT_number 38
loop_
_space_group_symop_operation_xyz
'x,y,z'
'-x,-y,z'
'-x,y,z'
'x,-y,z'
'x,y+1/2,z+1/2'
'-x,-y+1/2,z+1/2'
'-x,y+1/2,z+1/2'
'x,-y+1/2,z+1/2'
loop_
_atom_site_label
_atom_site_type_symbol
_atom_site_fract_x
_atom_site_fract_y
_atom_site_fract_z
Tm1 Tm 0.000 0.000 0.000
Lu1 Lu 0.000 0.000 0.688
In1 In 0.000 0.000 0.344
In2 In 0.500 0.000 0.168
In3 In 0.500 0.000 0.520
In4 In 0.500 0.000 0.844
```

=====

Record 3
Computed PXRD pattern of Cs3Cu20Te13 for copper Kα, from DFT lattice parameters and positions (GGA-PBE).
Intensities are scaled so that the largest is 1000.

Top 6 peaks for 10 to 90 degrees two-theta, sorted by position:
d [Å]	Rel. int.	(hkl)
3.031	1000	4 2 2
2.143	365	4 4 4
1.984	688	6 4 2
1.856	359	8 0 0
1.312	196	8 8 0
1.204	228	10 6 4

Structural model:
```
data_Cs3Cu20Te13
_chemical_formula_sum 'Cs12 Cu80 Te52'
_cell_length_a 14.848
_cell_length_b 14.848
_cell_length_c 14.848
_cell_angle_alpha 90.00
_cell_angle_beta 90.00
_cell_angle_gamma 90.00
_space_group_name_H-M_alt 'F m -3'
_space_group_IT_number 202
_space_group_name_Hall '-F 2 2 3'
loop_
_atom_site_label
_atom_site_type_symbol
_atom_site_fract_x
_atom_site_fract_y
_atom_site_fract_z
Cs1 Cs 0.000 0.000 0.000
Cs2 Cs 0.250 0.250 0.250
Cu1 Cu 0.000 0.126 0.256
Cu2 Cu 0.105 0.105 0.395
Te1 Te 0.000 0.000 0.500
Te2 Te 0.000 0.243 0.124
```